Entry 1:
Structure and theoretical PXRD pattern of Pm8Ho2Cd (DFT lattice parameters and positions (PBE); λ = 1.5418 Å (Cu Kα)).
Peak positions follow from Bragg's law for the DFT cell and can differ from measured ones.

Structure:
Unit cell a=9.4604 b=9.4604 c=8.0190 alpha=104.93 beta=104.93 gamma=31.07
Sites, in units of the cell vectors:
Pm (0.0456, 0.0456, 0.2238)
Pm (0.1361, 0.1361, 0.6803)
Pm (0.3193, 0.3193, 0.5898)
Pm (0.4095, 0.4095, 0.0548)
Pm (0.5905, 0.5905, 0.9452)
Pm (0.6807, 0.6807, 0.4102)
Pm (0.8639, 0.8639, 0.3197)
Pm (0.9544, 0.9544, 0.7762)
Ho (0.2247, 0.2247, 0.1341)
Ho (0.7753, 0.7753, 0.8659)
Cd (0.5000, 0.5000, 0.5000)

The 10 most intense peaks (10° ≤ 2θ ≤ 80°), sorted by position:
2θ/deg	intensity
30.6	100.0
35.4	33.8
35.6	16.7
50.9	12.0
51.1	23.8
60.6	28.3
60.8	14.0
63.7	12.2
74.8	1.9
75.0	1.9



Entry 2:
Structure and theoretical PXRD pattern of Ba2US3N (DFT lattice parameters and positions (PBE); λ = 1.5418 Å (Cu Kα)).
Peak positions follow from Bragg's law for the DFT cell and can differ from measured ones.

Structure:
Unit cell a=8.9935 b=8.9935 c=8.9935 alpha=153.01 beta=145.81 gamma=44.09
Sites, in units of the cell vectors:
Ba (0.1472, 0.1472, 0.0000)
Ba (0.8528, 0.8528, 0.0000)
U (0.5000, 0.5000, 0.0000)
S (0.0000, 0.5000, 0.5000)
S (0.3358, 0.3358, 0.0000)
S (0.6642, 0.6642, 0.0000)
N (0.5000, 0.0000, 0.5000)

The 10 most intense peaks (10° ≤ 2θ ≤ 80°), sorted by position:
2θ/deg	intensity
10.6	46.2
23.2	81.6
26.6	72.1
27.1	100.0
32.2	35.6
33.9	39.4
42.6	44.9
43.6	39.7
47.5	23.5
49.5	22.9



Entry 3:
Structure and theoretical PXRD pattern of LaScGe2Ru (DFT lattice parameters and positions (PBE); λ = 1.5418 Å (Cu Kα)).
Peak positions follow from Bragg's law for the DFT cell and can differ from measured ones.

Structure:
Unit cell a=6.5952 b=6.5952 c=6.5952 alpha=143.13 beta=143.13 gamma=53.12
Sites, in units of the cell vectors:
La (0.0000, 0.0000, 0.0000)
Sc (0.2500, 0.7500, 0.5000)
Ge (0.3903, 0.3903, 0.0000)
Ge (0.6097, 0.6097, 0.0000)
Ru (0.7500, 0.2500, 0.5000)

The 10 most intense peaks (10° ≤ 2θ ≤ 80°), sorted by position:
2θ/deg	intensity
30.3	20.6
31.3	59.6
34.0	100.0
43.4	59.8
44.1	40.3
54.4	24.7
63.0	21.8
63.6	26.7
73.6	20.0
79.6	16.2



Entry 4:
Structure and theoretical PXRD pattern of AgRuCl6 (DFT lattice parameters and positions (PBE); λ = 1.5418 Å (Cu Kα)).
Peak positions follow from Bragg's law for the DFT cell and can differ from measured ones.

Structure:
Unit cell a=6.5290 b=6.5290 c=10.7955 alpha=93.14 beta=93.14 gamma=81.80
Sites, in units of the cell vectors:
Ag (0.0248, 0.9752, 0.7500)
Ag (0.9752, 0.0248, 0.2500)
Ru (0.0000, 0.5000, 0.0000)
Ru (0.5000, 0.0000, 0.5000)
Cl (0.0493, 0.5890, 0.7962)
Cl (0.1590, 0.7845, 0.0792)
Cl (0.2155, 0.8410, 0.4208)
Cl (0.2979, 0.3149, 0.5028)
Cl (0.3149, 0.2979, 0.0028)
Cl (0.4110, 0.9507, 0.7038)
Cl (0.5890, 0.0493, 0.2962)
Cl (0.6851, 0.7021, 0.9972)
Cl (0.7021, 0.6851, 0.4972)
Cl (0.7845, 0.1590, 0.5792)
Cl (0.8410, 0.2155, 0.9208)
Cl (0.9507, 0.4110, 0.2038)

The 10 most intense peaks (10° ≤ 2θ ≤ 80°), sorted by position:
2θ/deg	intensity
13.7	94.9
15.7	70.2
16.3	100.0
21.0	39.0
22.0	38.2
23.6	34.1
25.4	33.4
29.2	41.8
36.5	39.8
46.8	36.6



Entry 5:
Structure and theoretical PXRD pattern of K2RbHgCl5 (DFT lattice parameters and positions (PBE); λ = 1.5418 Å (Cu Kα)).
Peak positions follow from Bragg's law for the DFT cell and can differ from measured ones.

Structure:
Unit cell a=8.8568 b=8.8568 c=8.8568 alpha=145.79 beta=129.49 gamma=62.42
Sites, in units of the cell vectors:
K (0.2051, 0.2051, 0.0000)
K (0.7949, 0.7949, 0.0000)
Rb (0.5000, 0.0000, 0.5000)
Hg (0.0000, 0.5000, 0.5000)
Cl (0.0000, 0.0000, 0.0000)
Cl (0.1175, 0.3695, 0.7480)
Cl (0.3786, 0.6305, 0.7480)
Cl (0.6214, 0.3695, 0.2520)
Cl (0.8825, 0.6305, 0.2520)

The 10 most intense peaks (10° ≤ 2θ ≤ 80°), sorted by position:
2θ/deg	intensity
11.7	69.8
13.1	58.2
23.5	27.7
23.8	100.0
26.4	26.5
33.5	51.6
34.3	25.6
34.4	28.7
41.5	37.0
48.8	33.6



Entry 6:
Structure and theoretical PXRD pattern of P2PdPt7Pb2 (DFT lattice parameters and positions (PBE); λ = 1.5418 Å (Cu Kα)).
Peak positions follow from Bragg's law for the DFT cell and can differ from measured ones.

Structure:
Unit cell a=15.2789 b=15.2789 c=15.2789 alpha=165.25 beta=165.25 gamma=20.91
Sites, in units of the cell vectors:
P (0.1139, 0.1139, 0.0000)
P (0.8861, 0.8861, 0.0000)
Pd (0.5000, 0.5000, 0.0000)
Pt (0.0000, 0.0000, 0.0000)
Pt (0.0700, 0.5700, 0.5000)
Pt (0.1897, 0.1897, 0.0000)
Pt (0.4300, 0.9300, 0.5000)
Pt (0.5700, 0.0700, 0.5000)
Pt (0.8103, 0.8103, 0.0000)
Pt (0.9300, 0.4300, 0.5000)
Pb (0.2891, 0.2891, 0.0000)
Pb (0.7109, 0.7109, 0.0000)

The 10 most intense peaks (10° ≤ 2θ ≤ 80°), sorted by position:
2θ/deg	intensity
11.8	32.2
23.7	46.7
32.8	69.4
34.5	36.6
37.1	100.0
44.5	64.9
46.3	74.3
52.7	22.7
67.6	24.4
79.7	22.4



Entry 7:
Structure and theoretical PXRD pattern of ZrZn3 (DFT lattice parameters and positions (PBE); λ = 1.5418 Å (Cu Kα)).
Peak positions follow from Bragg's law for the DFT cell and can differ from measured ones.

Structure:
Unit cell a=4.1512 b=5.5652 c=5.7890 alpha=90.00 beta=90.00 gamma=90.00
Sites, in units of the cell vectors:
Zr (0.2500, 0.2500, 0.0966)
Zr (0.7500, 0.7500, 0.9034)
Zn (0.2500, 0.5051, 0.6401)
Zn (0.2500, 0.7500, 0.2435)
Zn (0.2500, 0.9949, 0.6401)
Zn (0.7500, 0.0051, 0.3599)
Zn (0.7500, 0.2500, 0.7565)
Zn (0.7500, 0.4949, 0.3599)

The 10 most intense peaks (10° ≤ 2θ ≤ 80°), sorted by position:
2θ/deg	intensity
31.0	25.0
35.8	41.8
37.9	67.0
41.3	21.0
42.1	100.0
43.6	38.7
50.0	14.4
57.6	20.0
79.0	14.2
79.9	13.7



Entry 8:
Structure and theoretical PXRD pattern of Ti4Fe2Si5 (DFT lattice parameters and positions (PBE); λ = 1.5418 Å (Cu Kα)).
Peak positions follow from Bragg's law for the DFT cell and can differ from measured ones.

Structure:
Unit cell a=9.1537 b=9.1537 c=9.1537 alpha=130.04 beta=59.95 gamma=149.03
Sites, in units of the cell vectors:
Ti (0.0636, 0.7451, 0.8087)
Ti (0.1409, 0.1064, 0.2473)
Ti (0.3591, 0.6064, 0.9655)
Ti (0.4364, 0.2451, 0.6815)
Ti (0.5636, 0.7549, 0.3185)
Ti (0.6409, 0.3936, 0.0345)
Ti (0.8591, 0.8936, 0.7527)
Ti (0.9364, 0.2549, 0.1913)
Fe (0.0568, 0.7500, 0.3068)
Fe (0.4432, 0.7500, 0.6932)
Fe (0.5568, 0.2500, 0.3068)
Fe (0.9432, 0.2500, 0.6932)
Si (0.0704, 0.4173, 0.4878)
Si (0.2185, 0.7957, 0.0142)
Si (0.2500, 0.2500, 0.0000)
Si (0.2815, 0.2957, 0.5772)
Si (0.4296, 0.9173, 0.3469)
Si (0.5704, 0.0827, 0.6531)
Si (0.7185, 0.7043, 0.4228)
Si (0.7500, 0.7500, 0.0000)
Si (0.7815, 0.2043, 0.9858)
Si (0.9296, 0.5827, 0.5122)

The 10 most intense peaks (10° ≤ 2θ ≤ 80°), sorted by position:
2θ/deg	intensity
36.8	13.6
38.9	35.7
40.5	37.3
41.2	100.0
41.4	21.5
41.5	33.9
42.4	70.1
43.8	37.1
50.9	13.4
69.2	19.2